No. 1
Diffraction record for Np2S3Cl. The PXRD pattern is simulated, not measured: it uses a GGA-PBE-relaxed structure and λ = 1.5418 Å (Cu Kα).

Peak list (10 most intense, 2θ = 10–90°, sorted by position)
| two_theta | I (rel.) | (hkl) |
| --- | --- | --- |
| 23.62 | 100.0 | 1 1 1 |
| 27.34 | 25.2 | 2 0 0 |
| 39.05 | 68.8 | 2 2 0 |
| 46.15 | 52.6 | 3 1 1 |
| 56.41 | 11.7 | 4 0 0 |
| 62.00 | 22.3 | 3 3 1 |
| 63.80 | 11.3 | 4 2 0 |
| 70.74 | 24.0 | 4 2 2 |
| 75.76 | 16.9 | 5 1 1 |
| 88.71 | 17.8 | 5 3 1 |

Crystal structure
```
data_Np2S3Cl
_space_group_name_H-M_alt 'P 1'
_space_group_IT_number 1
_space_group_name_Hall 'P 1'
_cell_length_a 6.524
_cell_length_b 6.524
_cell_length_c 6.524
_cell_angle_alpha 90.00
_cell_angle_beta 90.00
_cell_angle_gamma 90.00
loop_
_atom_site_label
_atom_site_fract_x
_atom_site_fract_y
_atom_site_fract_z
Np1 0.000 0.000 0.000
Np2 0.000 0.500 0.500
Np3 0.500 0.000 0.500
Np4 0.500 0.500 0.000
S1 0.250 0.250 0.750
S2 0.250 0.750 0.250
S3 0.250 0.750 0.750
S4 0.750 0.250 0.250
S5 0.750 0.250 0.750
S6 0.750 0.750 0.250
Cl1 0.250 0.250 0.250
Cl2 0.750 0.750 0.750
```

No. 2
Diffraction record for NpTlSe2Cl. The PXRD pattern is simulated, not measured: it uses a GGA-PBE-relaxed structure and λ = 1.5418 Å (Cu Kα).

Peak list (10 most intense, 2θ = 10–90°, sorted by position)
| two_theta | I (rel.) | (hkl) |
| --- | --- | --- |
| 10.09 | 96.1 | 0 0 1 |
| 20.25 | 69.8 | 0 0 2 |
| 20.38 | 51.4 | 2 0 0 |
| 23.77 | 56.5 | 0 1 1 |
| 29.77 | 100.0 | 2 1 -1 |
| 29.78 | 95.9 | 2 1 0 |
| 30.57 | 40.3 | 0 0 3 |
| 39.17 | 77.8 | 2 1 2 |
| 40.10 | 28.8 | 4 0 -1 |
| 43.74 | 28.7 | 0 2 0 |

Crystal structure
```
data_NpTlSe2Cl
_space_group_name_H-M_alt 'P 1'
_space_group_IT_number 1
_space_group_name_Hall 'P 1'
_cell_length_a 8.995
_cell_length_b 4.139
_cell_length_c 9.060
_cell_angle_alpha 90.00
_cell_angle_beta 104.45
_cell_angle_gamma 90.00
loop_
_atom_site_label
_atom_site_fract_x
_atom_site_fract_y
_atom_site_fract_z
Np1 0.171 0.250 0.166
Np2 0.829 0.750 0.834
Tl1 0.324 0.750 0.764
Tl2 0.676 0.250 0.236
Se1 0.049 0.250 0.842
Se2 0.370 0.750 0.136
Se3 0.630 0.250 0.864
Se4 0.951 0.750 0.158
Cl1 0.250 0.250 0.459
Cl2 0.750 0.750 0.541
```